Starting from the GGA-PBE geometry in Alexandria, the X-ray diffraction stick pattern of Tb2CeCr2C4 was computed for Cu Kα (weighted mean of Kα1 and Kα2).

Structural model:
Lattice parameters (Å, degrees): 6.834 6.834 6.014 110.62 110.62 29.10
Fractional coordinates of all 9 atoms:
Tb: 0.135 0.135 0.040
Tb: 0.865 0.865 0.960
Ce: 0.000 0.000 0.500
Cr: 0.319 0.319 0.514
Cr: 0.681 0.681 0.486
C: 0.218 0.218 0.686
C: 0.459 0.459 0.757
C: 0.541 0.541 0.243
C: 0.782 0.782 0.314

Most intense lines, 5 to 70 degrees two-theta, sorted by position:
2θ = 27.0°, d = 3.307 Å, rel. 75
2θ = 27.5°, d = 3.243 Å, rel. 76
2θ = 32.0°, d = 2.801 Å, rel. 71
2θ = 34.1°, d = 2.632 Å, rel. 100
2θ = 40.1°, d = 2.248 Å, rel. 63
2θ = 41.1°, d = 2.195 Å, rel. 91


Starting from the GGA-PBE geometry in Alexandria, the X-ray diffraction stick pattern of CeDyC4 was computed for Cu Kα (weighted mean of Kα1 and Kα2).

Structural model:
Lattice parameters (Å, degrees): 3.722 3.722 6.278 90.00 90.00 90.00
Fractional coordinates of all 6 atoms:
Ce: 0.000 0.000 0.000
Dy: 0.500 0.500 0.500
C: 0.000 0.000 0.397
C: 0.000 0.000 0.603
C: 0.500 0.500 0.105
C: 0.500 0.500 0.895

Most intense lines, 5 to 70 degrees two-theta, sorted by position:
2θ = 27.9°, d = 3.201 Å, rel. 100
2θ = 28.4°, d = 3.139 Å, rel. 33
2θ = 34.1°, d = 2.632 Å, rel. 50
2θ = 45.0°, d = 2.017 Å, rel. 38
2θ = 50.0°, d = 1.824 Å, rel. 29
2θ = 57.3°, d = 1.609 Å, rel. 29


Starting from the GGA-PBE geometry in Alexandria, the X-ray diffraction stick pattern of CeDy2GaC was computed for Cu Kα (weighted mean of Kα1 and Kα2).

Structural model:
Lattice parameters (Å, degrees): 4.891 4.891 4.833 90.00 90.00 90.00
Fractional coordinates of all 5 atoms:
Ce: 0.000 0.000 0.000
Dy: 0.000 0.500 0.500
Dy: 0.500 0.000 0.500
Ga: 0.500 0.500 0.000
C: 0.000 0.000 0.500

Most intense lines, 5 to 70 degrees two-theta, sorted by position:
2θ = 31.8°, d = 2.812 Å, rel. 100
2θ = 36.8°, d = 2.445 Å, rel. 37
2θ = 37.2°, d = 2.416 Å, rel. 18
2θ = 53.3°, d = 1.719 Å, rel. 25
2θ = 63.1°, d = 1.473 Å, rel. 28
2θ = 63.7°, d = 1.460 Å, rel. 14


Starting from the GGA-PBE geometry in Alexandria, the X-ray diffraction stick pattern of CeEr2ReC4 was computed for Cu Kα (weighted mean of Kα1 and Kα2).

Structural model:
Lattice parameters (Å, degrees): 6.274 6.274 12.102 90.00 90.00 147.60
Fractional coordinates of all 16 atoms:
Ce: 0.094 0.906 0.750
Ce: 0.906 0.094 0.250
Er: 0.371 0.629 0.540
Er: 0.371 0.629 0.960
Er: 0.629 0.371 0.040
Er: 0.629 0.371 0.460
Re: 0.167 0.833 0.250
Re: 0.833 0.167 0.750
C: 0.000 0.000 0.000
C: 0.000 0.000 0.500
C: 0.265 0.735 0.129
C: 0.265 0.735 0.371
C: 0.421 0.579 0.750
C: 0.579 0.421 0.250
C: 0.735 0.265 0.629
C: 0.735 0.265 0.871

Most intense lines, 5 to 70 degrees two-theta, sorted by position:
2θ = 29.5°, d = 3.026 Å, rel. 46
2θ = 29.7°, d = 3.012 Å, rel. 43
2θ = 30.4°, d = 2.938 Å, rel. 100
2θ = 34.8°, d = 2.580 Å, rel. 46
2θ = 37.2°, d = 2.418 Å, rel. 87
2θ = 51.3°, d = 1.782 Å, rel. 40


Starting from the GGA-PBE geometry in Alexandria, the X-ray diffraction stick pattern of Ce2Fe17C was computed for Cu Kα (weighted mean of Kα1 and Kα2).

Structural model:
Lattice parameters (Å, degrees): 6.461 6.461 6.461 96.73 96.73 83.01
Fractional coordinates of all 20 atoms:
Ce: 0.165 0.165 0.356
Ce: 0.835 0.835 0.644
Fe: 0.000 0.500 0.000
Fe: 0.156 0.156 0.852
Fe: 0.157 0.652 0.344
Fe: 0.212 0.501 0.713
Fe: 0.216 0.784 0.000
Fe: 0.348 0.843 0.656
Fe: 0.404 0.404 0.097
Fe: 0.499 0.788 0.287
Fe: 0.500 0.000 0.000
Fe: 0.500 0.500 0.500
Fe: 0.501 0.212 0.713
Fe: 0.596 0.596 0.903
Fe: 0.652 0.157 0.344
Fe: 0.784 0.216 0.000
Fe: 0.788 0.499 0.287
Fe: 0.843 0.348 0.656
Fe: 0.844 0.844 0.148
C: 0.000 0.000 0.000

Most intense lines, 5 to 70 degrees two-theta, sorted by position:
2θ = 30.0°, d = 2.982 Å, rel. 57
2θ = 36.3°, d = 2.476 Å, rel. 60
2θ = 42.1°, d = 2.146 Å, rel. 70
2θ = 42.5°, d = 2.129 Å, rel. 53
2θ = 42.5°, d = 2.125 Å, rel. 100
2θ = 43.6°, d = 2.075 Å, rel. 53


Starting from the GGA-PBE geometry in Alexandria, the X-ray diffraction stick pattern of CeFeC was computed for Cu Kα (weighted mean of Kα1 and Kα2).

Structural model:
Lattice parameters (Å, degrees): 3.496 5.711 8.632 90.00 90.00 90.00
Fractional coordinates of all 12 atoms:
Ce: 0.140 0.160 0.168
Ce: 0.360 0.840 0.668
Ce: 0.640 0.340 0.832
Ce: 0.860 0.660 0.332
Fe: 0.109 0.842 0.921
Fe: 0.391 0.158 0.421
Fe: 0.609 0.658 0.079
Fe: 0.891 0.342 0.579
C: 0.118 0.537 0.019
C: 0.382 0.463 0.519
C: 0.618 0.963 0.981
C: 0.882 0.037 0.481

Most intense lines, 5 to 70 degrees two-theta, sorted by position:
2θ = 30.0°, d = 2.982 Å, rel. 28
2θ = 31.7°, d = 2.818 Å, rel. 100
2θ = 33.0°, d = 2.712 Å, rel. 99
2θ = 34.9°, d = 2.570 Å, rel. 58
2θ = 36.6°, d = 2.453 Å, rel. 66
2θ = 66.3°, d = 1.409 Å, rel. 33